1.
Starting from a GGA-PBE-relaxed structure, the X-ray diffraction stick pattern of Mg2Tl5In was simulated for Cu Ka.
Kinematic intensities with the Lorentz-polarization factor, no thermal factor.

Largest 10 diffraction maxima, by intensity, 2θ = 15–90°:
| d [Å] | I (rel.) | h k l |
| --- | --- | --- |
| 2.735 | 100 | 1 3 2 |
| 2.978 | 96 | 0 2 4 |
| 2.462 | 55 | 1 5 2 |
| 2.780 | 42 | 0 6 3 |
| 2.827 | 38 | 0 8 0 |
| 1.683 | 37 | 0 4 7 |
| 2.249 | 36 | 1 5 3 |
| 2.756 | 32 | 0 8 1 |
| 5.141 | 31 | 0 4 1 |
| 2.254 | 27 | 1 1 4 |

Cell and atoms:
Lattice parameters (Å, degrees): 3.3354 22.6189 12.3470 90.00 90.00 90.00
Space group Cmcm (No. 63)
Inequivalent atoms, fractional coordinates:
Mg  0.0000  0.0890  0.1268 (multiplicity 8)
Tl  0.0000  0.0446  0.6136 (multiplicity 8)
Tl  0.0000  0.2095  0.2500 (multiplicity 4)
Tl  0.0000  0.3171  0.0124 (multiplicity 8)
In  0.0000  0.1654  0.7500 (multiplicity 4)



2.
Starting from a GGA-PBE-relaxed structure, the X-ray diffraction stick pattern of MgTlIn3 was simulated for Cu Ka.
Kinematic intensities with the Lorentz-polarization factor, no thermal factor.

Largest 10 diffraction maxima, by intensity, 2θ = 15–90°:
| d [Å] | I (rel.) | h k l |
| --- | --- | --- |
| 2.815 | 100 | 1 -2 1 |
| 2.380 | 49 | 2 0 0 |
| 2.866 | 45 | 0 1 -3 |
| 3.039 | 36 | 0 1 2 |
| 2.609 | 30 | -1 1 2 |
| 2.518 | 26 | 1 1 2 |
| 3.163 | 23 | 1 1 -2 |
| 3.309 | 23 | -1 1 1 |
| 3.196 | 22 | 1 1 1 |
| 2.418 | 19 | 1 -1 3 |

Cell and atoms:
Lattice parameters (Å, degrees): 4.7631 7.0024 8.6320 109.41 92.10 90.31
Space group P-1 (No. 2)
Inequivalent atoms, fractional coordinates:
Mg  0.2490  0.1549  0.2949 (multiplicity 2)
Tl  0.2477  0.1583  0.6913 (multiplicity 2)
In  0.2469  0.6411  0.4943 (multiplicity 2)
In  0.2510  0.8371  0.9447 (multiplicity 2)
In  0.2564  0.4877  0.1153 (multiplicity 2)



3.
Starting from a GGA-PBE-relaxed structure, the X-ray diffraction stick pattern of MgTl3In2 was simulated for Cu Ka.
Kinematic intensities with the Lorentz-polarization factor, no thermal factor.

Largest 10 diffraction maxima, by intensity, 2θ = 15–90°:
| d [Å] | I (rel.) | h k l |
| --- | --- | --- |
| 2.601 | 100 | 1 3 1 |
| 3.024 | 37 | 1 5 0 |
| 2.767 | 33 | 2 0 0 |
| 3.010 | 26 | 0 6 0 |
| 1.564 | 21 | 3 3 1 |
| 3.166 | 19 | 0 2 1 |
| 2.037 | 18 | 2 6 0 |
| 1.553 | 16 | 2 8 1 |
| 1.475 | 15 | 0 6 2 |
| 1.877 | 15 | 0 8 1 |

Cell and atoms:
Lattice parameters (Å, degrees): 5.5338 18.0580 3.3801 90.00 90.00 90.00
Space group Cmmm (No. 65)
Inequivalent atoms, fractional coordinates:
Mg  0.0000  0.0000  0.0000 (multiplicity 2)
Tl  0.0000  0.3153  0.0000 (multiplicity 4)
Tl  0.0000  0.5000  0.5000 (multiplicity 2)
In  0.0000  0.1434  0.5000 (multiplicity 4)



4.
Starting from a GGA-PBE-relaxed structure, the X-ray diffraction stick pattern of Mg5Tl6In was simulated for Cu Ka.
Kinematic intensities with the Lorentz-polarization factor, no thermal factor.

Largest 10 diffraction maxima, by intensity, 2θ = 15–90°:
| d [Å] | I (rel.) | h k l |
| --- | --- | --- |
| 2.688 | 100 | 1 2 3 |
| 3.493 | 43 | 1 0 3 |
| 4.208 | 33 | 0 2 0 |
| 2.485 | 20 | 0 0 6 |
| 2.455 | 20 | 2 0 0 |
| 1.471 | 16 | 1 2 9 |
| 1.458 | 16 | 3 2 3 |
| 1.747 | 14 | 2 0 6 |
| 1.802 | 12 | 1 4 3 |
| 2.104 | 12 | 0 4 0 |

Cell and atoms:
Lattice parameters (Å, degrees): 4.9104 8.4168 14.9096 90.00 90.00 90.00
Space group Immm (No. 71)
Inequivalent atoms, fractional coordinates:
Mg  0.0000  0.0000  0.0000 (multiplicity 2)
Mg  0.0000  0.0000  0.3415 (multiplicity 4)
Mg  0.0000  0.5000  0.3274 (multiplicity 4)
Tl  0.0000  0.2402  0.1697 (multiplicity 8)
Tl  0.0000  0.2679  0.5000 (multiplicity 4)
In  0.0000  0.5000  0.0000 (multiplicity 2)



5.
Starting from a GGA-PBE-relaxed structure, the X-ray diffraction stick pattern of MgTl8In3 was simulated for Cu Ka.
Kinematic intensities with the Lorentz-polarization factor, no thermal factor.

Largest 10 diffraction maxima, by intensity, 2θ = 15–90°:
| d [Å] | I (rel.) | h k l |
| --- | --- | --- |
| 3.499 | 100 | 1 1 1 |
| 2.524 | 78 | 2 -1 2 |
| 2.426 | 68 | 3 0 0 |
| 1.749 | 25 | 2 2 2 |
| 1.419 | 25 | 5 -1 2 |
| 1.994 | 21 | 4 -2 1 |
| 1.323 | 19 | 3 0 4 |
| 1.541 | 19 | 4 1 1 |
| 1.882 | 17 | 1 1 3 |
| 1.401 | 12 | 3 3 0 |

Cell and atoms:
Lattice parameters (Å, degrees): 8.4056 8.4056 6.3139 90.00 90.00 120.00
Space group P-31m (No. 162)
Inequivalent atoms, fractional coordinates:
Mg  0.0000  0.0000  0.0000 (multiplicity 1)
Tl  0.0000  0.3235  0.7366 (multiplicity 6)
Tl  0.3333  0.6667  0.0000 (multiplicity 2)
In  0.0000  0.0000  0.5000 (multiplicity 1)
In  0.3333  0.6667  0.5000 (multiplicity 2)



6.
Starting from a GGA-PBE-relaxed structure, the X-ray diffraction stick pattern of MgZrTlIn was simulated for Cu Ka.
Kinematic intensities with the Lorentz-polarization factor, no thermal factor.

Largest 10 diffraction maxima, by intensity, 2θ = 15–90°:
| d [Å] | I (rel.) | h k l |
| --- | --- | --- |
| 2.580 | 100 | 1 1 1 |
| 4.311 | 18 | 1 0 0 |
| 3.220 | 18 | 0 1 1 |
| 2.295 | 18 | 0 0 2 |
| 2.260 | 17 | 0 2 0 |
| 2.156 | 15 | 2 0 0 |
| 1.373 | 14 | 1 1 3 |
| 1.358 | 13 | 1 3 1 |
| 4.520 | 12 | 0 1 0 |
| 1.312 | 12 | 3 1 1 |

Cell and atoms:
Lattice parameters (Å, degrees): 4.3113 4.5196 4.5891 90.00 90.00 90.00
Space group Pmmm (No. 47)
Inequivalent atoms, fractional coordinates:
Mg  0.0000  0.0000  0.0000 (multiplicity 1)
Zr  0.0000  0.5000  0.5000 (multiplicity 1)
Tl  0.5000  0.5000  0.0000 (multiplicity 1)
In  0.5000  0.0000  0.5000 (multiplicity 1)